[1]
PmTc4B2: computed XRD peak list (Cu Kα (weighted mean of Kα1 and Kα2)), based on a cell relaxed with GGA-PBE.
Intensities are scaled so that the largest is 100.

Principal peaks in the range 15 to 90 degrees two-theta, by angle:
d [Å], 2θ/deg, I/Imax
3.880, 22.92, 15
2.402, 37.43, 100
2.225, 40.54, 17
2.027, 44.70, 18
2.009, 45.12, 18
1.231, 77.55, 12

Structure:
```
PmTc4B2
1.0
2.027 -6.674 0.000
2.027 6.674 0.000
0.000 0.000 4.019
Pm Tc B
1 4 2
direct
0.000 0.000 0.000 Pm
0.180 0.820 0.500 Tc
0.308 0.692 0.000 Tc
0.692 0.308 0.000 Tc
0.820 0.180 0.500 Tc
0.378 0.622 0.500 B
0.622 0.378 0.500 B
```

[2]
Ac12Ge6Pd: computed XRD peak list (Cu Kα (weighted mean of Kα1 and Kα2)), based on a cell relaxed with GGA-PBE.
Intensities are scaled so that the largest is 100.

Principal peaks in the range 15 to 90 degrees two-theta, by angle:
d [Å], 2θ/deg, I/Imax
3.739, 23.80, 100
3.094, 28.86, 35
2.990, 29.89, 56
2.661, 33.69, 70
2.628, 34.12, 59
1.824, 50.01, 23

Structure:
```
Ac12Ge6Pd
1.0
7.039 4.064 4.265
-7.039 4.064 4.265
0.000 -8.128 4.265
Ac Ge Pd
12 6 1
direct
0.047 0.678 0.927 Ac
0.073 0.953 0.322 Ac
0.184 0.419 0.561 Ac
0.322 0.073 0.953 Ac
0.419 0.561 0.184 Ac
0.439 0.816 0.581 Ac
0.561 0.184 0.419 Ac
0.581 0.439 0.816 Ac
0.678 0.927 0.047 Ac
0.816 0.581 0.439 Ac
0.927 0.047 0.678 Ac
0.953 0.322 0.073 Ac
0.129 0.621 0.308 Ge
0.308 0.129 0.621 Ge
0.379 0.692 0.871 Ge
0.621 0.308 0.129 Ge
0.692 0.871 0.379 Ge
0.871 0.379 0.692 Ge
0.000 0.000 0.000 Pd
```